Record 1
Computed powder diffractogram
Compound: AcLa14Ho
Radiation: Cu Kα
Structure: DFT lattice parameters and positions (GGA-PBE)

Main lines, low angle first (2θ = 10–90°):
2θ/deg  intensity
29.36  100
33.89  17
34.09  34
48.83  24
48.98  12
57.87  15
58.14  29
60.90  13
79.16  12
81.89  8

Structural model:
Lattice parameters (Å, degrees): 10.512 10.527 10.580 90.00 90.00 90.00
Space group Cmmm (No. 65)
Symmetry-distinct sites (fractional):
Ac (0.000, 0.000, 0.000) (multiplicity 2)
La (0.000, 0.000, 0.500) (multiplicity 2)
La (0.000, 0.254, 0.251) (multiplicity 8)
La (0.000, 0.500, 0.500) (multiplicity 2)
La (0.245, 0.500, 0.251) (multiplicity 8)
La (0.250, 0.250, 0.000) (multiplicity 4)
La (0.250, 0.250, 0.500) (multiplicity 4)
Ho (0.000, 0.500, 0.000) (multiplicity 2)

***

Record 2
Computed powder diffractogram
Compound: Ac8LaHo4
Radiation: Cu Kα
Structure: DFT lattice parameters and positions (GGA-PBE)

Main lines, low angle first (2θ = 10–90°):
2θ/deg  intensity
18.41  9
21.29  17
30.29  100
43.37  19
48.80  7
53.79  30
53.88  10
63.01  12
71.50  16
87.42  14

Structural model:
Lattice parameters (Å, degrees): 11.8106 11.8106 14.4352 90.00 90.00 120.00
Space group R-3m (No. 166, hexagonal axes)
Symmetry-distinct sites (fractional):
Ac (0.0000, 0.0000, 0.2400) (multiplicity 6)
Ac (0.0129, 0.5064, 0.7465) (multiplicity 18)
La (0.0000, 0.0000, 0.5000) (multiplicity 3)
Ho (0.0000, 0.0000, 0.0000) (multiplicity 3)
Ho (0.0000, 0.5000, 0.0000) (multiplicity 9)

***

Record 3
Computed powder diffractogram
Compound: Ac3La4Ho4
Radiation: Cu Kα
Structure: DFT lattice parameters and positions (GGA-PBE)

Main lines, low angle first (2θ = 10–90°):
2θ/deg  intensity
29.47  30
30.17  63
30.39  100
42.82  22
43.91  12
53.82  13
53.97  13
54.32  13
59.18  31
76.24  12

Structural model:
Lattice parameters (Å, degrees): 3.685 5.889 18.975 98.87 95.54 90.01
Space group P-1 (No. 2)
Symmetry-distinct sites (fractional):
Ac (0.000, 0.000, 0.000) (multiplicity 1)
Ac (0.137, 0.637, 0.274) (multiplicity 2)
La (0.266, 0.266, 0.532) (multiplicity 2)
La (0.408, 0.908, 0.816) (multiplicity 2)
Ho (0.317, 0.817, 0.635) (multiplicity 2)
Ho (0.455, 0.454, 0.910) (multiplicity 2)

***

Record 4
Computed powder diffractogram
Compound: AcLa12Ho5
Radiation: Cu Kα
Structure: DFT lattice parameters and positions (GGA-PBE)

Main lines, low angle first (2θ = 10–90°):
2θ/deg  intensity
30.36  74
30.41  100
30.60  21
30.70  26
43.75  19
54.01  29
54.37  12
60.13  12
60.50  12
63.25  11

Structural model:
Lattice parameters (Å, degrees): 12.540 17.476 5.880 90.00 90.10 90.00
Space group C2/m (No. 12)
Symmetry-distinct sites (fractional):
Ac (0.000, 0.000, 0.000) (multiplicity 2)
La (0.148, 0.182, 0.998) (multiplicity 8)
La (0.150, 0.322, 0.502) (multiplicity 8)
La (0.195, 0.500, 0.981) (multiplicity 4)
La (0.208, 0.000, 0.521) (multiplicity 4)
Ho (0.000, 0.139, 0.500) (multiplicity 4)
Ho (0.000, 0.365, 0.000) (multiplicity 4)
Ho (0.000, 0.500, 0.500) (multiplicity 2)

***

Record 5
Computed powder diffractogram
Compound: AcLa2Ho7
Radiation: Cu Kα
Structure: DFT lattice parameters and positions (GGA-PBE)

Main lines, low angle first (2θ = 10–90°):
2θ/deg  intensity
30.25  100
34.82  17
34.99  17
35.39  17
50.19  12
50.60  18
59.62  15
59.84  15
60.37  14
62.84  6

Structural model:
Lattice parameters (Å, degrees): 18.514 5.129 7.222 90.00 102.15 90.00
Space group C2/m (No. 12)
Symmetry-distinct sites (fractional):
Ac (0.000, 0.000, 0.000) (multiplicity 2)
La (0.198, 0.000, 0.602) (multiplicity 4)
Ho (0.000, 0.000, 0.500) (multiplicity 2)
Ho (0.101, 0.500, 0.305) (multiplicity 4)
Ho (0.102, 0.500, 0.800) (multiplicity 4)
Ho (0.201, 0.000, 0.101) (multiplicity 4)

***

Record 6
Computed powder diffractogram
Compound: Ac2LaHo
Radiation: Cu Kα
Structure: DFT lattice parameters and positions (GGA-PBE)

Main lines, low angle first (2θ = 10–90°):
2θ/deg  intensity
28.69  100
32.80  36
34.11  16
47.07  13
48.05  24
56.06  31
57.79  14
59.40  13
77.63  12
88.25  9

Structural model:
Lattice parameters (Å, degrees): 3.861 3.861 10.513 90.00 90.00 90.00
Space group P4/mmm (No. 123)
Symmetry-distinct sites (fractional):
Ac (0.000, 0.000, 0.242) (multiplicity 2)
La (0.500, 0.500, 0.500) (multiplicity 1)
Ho (0.500, 0.500, 0.000) (multiplicity 1)